This entry pairs a crystal structure of RbLaRuO6 with its computed X-ray powder pattern. Radiation: Cu Kα X-rays. Structure: a PBE-relaxed structure.

Atomic structure:
```
RbLaRuO6
1.0
5.801 0.000 0.000
-2.901 5.024 0.000
0.000 0.000 6.087
Rb La Ru O
1 1 1 6
Cartesian
0.000 0.000 0.000 Rb
0.000 3.349 3.043 La
2.901 1.675 3.043 Ru
2.188 0.300 4.125 O
1.354 1.745 1.962 O
3.613 0.300 1.962 O
2.066 2.979 4.125 O
4.447 1.745 4.125 O
3.735 2.979 1.962 O
```

Peak list (8 most intense, 2θ = 15–90°, in order of rising 2θ)
d_spacing	Position (°2θ)	I/Imax	index
3.875	22.95	100	1 0 1
3.043	29.35	13	0 0 2
2.901	30.83	42	1 1 0
2.618	34.25	17	2 -1 1
2.322	38.78	22	2 0 1
2.100	43.08	50	2 -1 2
1.813	50.34	23	3 -1 1
1.675	54.82	13	3 0 0